(1)
This entry pairs a crystal structure of CeZr7O16 with its simulated X-ray diffraction stick pattern. Radiation: copper Kα. Structure: a PBE-relaxed structure.
No peak broadening, texture or thermal motion is included.

Structural model:
Unit cell a=6.9437 b=7.4744 c=7.4963 alpha=90.28 beta=116.49 gamma=116.45
Space group P1 (No. 1)
Unique sites:
Ce (0.0000, 0.0000, 0.0000)
Zr (0.4173, 0.8921, 0.9706)
Zr (0.4197, 0.4031, 0.4794)
Zr (0.4919, 0.9628, 0.5365)
Zr (0.4982, 0.4641, 0.0411)
Zr (0.9127, 0.9423, 0.4322)
Zr (0.9143, 0.4339, 0.9290)
Zr (0.9937, 0.5058, 0.4952)
O (0.0578, 0.2593, 0.4636)
O (0.0682, 0.7491, 0.9641)
O (0.1758, 0.8383, 0.6159)
O (0.1912, 0.3538, 0.1224)
O (0.2309, 0.5563, 0.8446)
O (0.2342, 0.0670, 0.3632)
O (0.3542, 0.6481, 0.5051)
O (0.3604, 0.1475, 0.9945)
O (0.5544, 0.9403, 0.2884)
O (0.5671, 0.4458, 0.7943)
O (0.6717, 0.0862, 0.8689)
O (0.6815, 0.5828, 0.3761)
O (0.7179, 0.8129, 0.1020)
O (0.7307, 0.3197, 0.5964)
O (0.8442, 0.9700, 0.6674)
O (0.8565, 0.4739, 0.1784)

Principal peaks in the range 2θ from 5° to 70°, low angle first:
hkl 1 1 -1, 2θ 23.55, intensity 21.0
hkl 1 -2 0, 2θ 23.94, intensity 17.3
hkl 0 0 2, 2θ 27.49, intensity 71.9
hkl 0 2 0, 2θ 27.56, intensity 70.2
hkl 2 0 -2, 2θ 30.79, intensity 100.0
hkl 2 0 0, 2θ 33.30, intensity 29.3
hkl 0 2 -2, 2θ 33.79, intensity 17.4
hkl -2 2 2, 2θ 34.43, intensity 22.3
hkl -1 3 1, 2θ 39.71, intensity 18.0
hkl 2 -2 2, 2θ 48.17, intensity 27.4
hkl 2 0 -4, 2θ 48.94, intensity 17.4
hkl -4 2 2, 2θ 52.76, intensity 19.9

---

(2)
This entry pairs a crystal structure of LiMg2Bi2 with its simulated X-ray diffraction stick pattern. Radiation: copper Kα. Structure: a PBE-relaxed structure.
No peak broadening, texture or thermal motion is included.

Structural model:
Unit cell a=7.1125 b=4.8092 c=8.6332 alpha=90.00 beta=102.21 gamma=90.00
Space group P2_1/m (No. 11)
Unique sites:
Li (0.0607, 0.2500, 0.1876)
Mg (0.3286, 0.2500, 0.5772)
Mg (0.3559, 0.7500, 0.0763)
Bi (0.2106, 0.2500, 0.8850)
Bi (0.2294, 0.7500, 0.3826)

Principal peaks in the range 2θ from 5° to 70°, low angle first:
hkl 0 1 1, 2θ 21.26, intensity 100.0
hkl 1 0 -2, 2θ 22.22, intensity 73.0
hkl 1 1 -1, 2θ 23.67, intensity 78.2
hkl 2 0 0, 2θ 25.63, intensity 58.4
hkl 1 1 1, 2θ 26.01, intensity 37.6
hkl 1 0 2, 2θ 26.94, intensity 40.8
hkl 2 1 1, 2θ 35.28, intensity 58.7
hkl 0 1 3, 2θ 37.03, intensity 43.8
hkl 0 2 0, 2θ 37.40, intensity 31.0
hkl 2 1 -3, 2θ 41.29, intensity 36.7
hkl 3 1 -1, 2θ 42.59, intensity 29.5
hkl 1 2 -2, 2θ 43.93, intensity 25.7

---

(3)
This entry pairs a crystal structure of Al4HgS7 with its simulated X-ray diffraction stick pattern. Radiation: copper Kα. Structure: a PBE-relaxed structure.
No peak broadening, texture or thermal motion is included.

Structural model:
Unit cell a=15.4653 b=6.5451 c=6.1750 alpha=90.00 beta=90.00 gamma=90.00
Space group Pmn2_1 (No. 31)
Unique sites:
Al (0.1254, 0.1732, 0.0000)
Al (0.2435, 0.3283, 0.4680)
Hg (0.0000, 0.6577, 0.9005)
S (0.0000, 0.2826, 0.8370)
S (0.1207, 0.1993, 0.3544)
S (0.1382, 0.8515, 0.8540)
S (0.2412, 0.3417, 0.8446)

Principal peaks in the range 2θ from 5° to 70°, low angle first:
hkl 1 0 1, 2θ 15.45, intensity 100.0
hkl 0 1 1, 2θ 19.77, intensity 34.4
hkl 3 1 0, 2θ 21.95, intensity 20.6
hkl 3 0 1, 2θ 22.47, intensity 20.3
hkl 2 1 1, 2θ 22.90, intensity 23.6
hkl 3 1 1, 2θ 26.32, intensity 18.5
hkl 4 1 0, 2θ 26.78, intensity 28.5
hkl 0 0 2, 2θ 28.92, intensity 33.2
hkl 5 0 1, 2θ 32.38, intensity 22.8
hkl 2 2 1, 2θ 33.07, intensity 18.5
hkl 4 3 0, 2θ 47.86, intensity 25.1
hkl 4 3 2, 2θ 56.90, intensity 15.5